# LiCrPO4F
Theoretical powder diffractogram, Cu Kα (λ = 1.5418 Å). Input: a crystal structure in Alexandria, relaxed with GGA+U.

Most intense lines, 2θ from 10° to 80°, sorted by position:
2θ = 15.47°, d = 5.729 Å, intensity 100; 2θ = 15.97°, d = 5.548 Å, intensity 17; 2θ = 17.00°, d = 5.214 Å, intensity 32; 2θ = 21.12°, d = 4.206 Å, intensity 16; 2θ = 26.88°, d = 3.317 Å, intensity 51; 2θ = 28.16°, d = 3.168 Å, intensity 31; 2θ = 30.12°, d = 2.967 Å, intensity 93; 2θ = 31.82°, d = 2.812 Å, intensity 54; 2θ = 32.30°, d = 2.771 Å, intensity 21; 2θ = 32.54°, d = 2.752 Å, intensity 19; 2θ = 36.36°, d = 2.471 Å, intensity 20; 2θ = 43.44°, d = 2.083 Å, intensity 23

Atomic structure:
a b c (Å): 13.018 6.341 9.552
angles (deg): 90.00 118.34 90.00
Space group Cc (No. 9)
Symmetry-distinct sites (fractional):
Li  0.000  0.109  0.000 [4 per cell]
Li  0.430  0.237  0.182 [4 per cell]
Cr  0.214  0.366  0.303 [4 per cell]
Cr  0.284  0.165  0.654 [4 per cell]
P  0.033  0.387  0.477 [4 per cell]
P  0.188  0.121  0.862 [4 per cell]
O  0.071  0.417  0.091 [4 per cell]
O  0.072  0.139  0.858 [4 per cell]
O  0.144  0.314  0.458 [4 per cell]
O  0.196  0.046  0.242 [4 per cell]
O  0.232  0.320  0.808 [4 per cell]
O  0.289  0.069  0.029 [4 per cell]
O  0.438  0.040  0.810 [4 per cell]
O  0.494  0.300  0.037 [4 per cell]
F  0.331  0.396  0.240 [4 per cell]
F  0.351  0.325  0.528 [4 per cell]